Theoretical X-ray powder pattern
Compound: Rb2LaInSe4
Radiation: λ = 1.5418 Å (Cu Kα)
Structure: a cell relaxed with GGA-PBE
Neutral-atom scattering factors, no anomalous dispersion.

```
data_Rb2LaInSe4
_chemical_formula_sum 'Rb4 La2 In2 Se8'
_cell_length_a 9.020
_cell_length_b 9.020
_cell_length_c 9.020
_cell_angle_alpha 122.09
_cell_angle_beta 118.96
_cell_angle_gamma 89.11
_symmetry_space_group_name_H-M 'P 1'
_symmetry_Int_Tables_number 1
loop_
_symmetry_equiv_pos_as_xyz
'x,y,z'
loop_
_atom_site_label
_atom_site_fract_x
_atom_site_fract_y
_atom_site_fract_z
Rb1 0.000 0.000 0.000
Rb2 0.500 0.000 0.000
Rb3 0.500 0.000 0.500
Rb4 0.500 0.500 0.500
La1 0.000 0.500 0.500
La2 0.500 0.500 0.000
In1 0.000 0.000 0.500
In2 0.000 0.500 0.000
Se1 0.194 0.740 0.454
Se2 0.214 0.260 0.954
Se3 0.232 0.259 0.526
Se4 0.232 0.706 0.974
Se5 0.768 0.294 0.026
Se6 0.768 0.741 0.474
Se7 0.786 0.740 0.046
Se8 0.806 0.260 0.546
```

Main lines, by angle (10° ≤ 2θ ≤ 90°):
| d/Å | 2theta | I (rel.) |
| --- | --- | --- |
| 3.214 | 27.76 | 543 |
| 3.160 | 28.24 | 1000 |
| 2.253 | 40.01 | 732 |
| 2.183 | 41.36 | 185 |
| 1.865 | 48.83 | 171 |
| 1.806 | 50.54 | 185 |

Theoretical X-ray powder pattern
Compound: LaPm2F8
Radiation: λ = 1.5418 Å (Cu Kα)
Structure: a cell relaxed with GGA-PBE
Neutral-atom scattering factors, no anomalous dispersion.

```
data_LaPm2F8
_chemical_formula_sum 'La1 Pm2 F8'
_cell_length_a 6.819
_cell_length_b 6.819
_cell_length_c 6.819
_cell_angle_alpha 146.99
_cell_angle_beta 121.17
_cell_angle_gamma 69.14
_symmetry_space_group_name_H-M 'P 1'
_symmetry_Int_Tables_number 1
loop_
_symmetry_equiv_pos_as_xyz
'x,y,z'
loop_
_atom_site_label
_atom_site_fract_x
_atom_site_fract_y
_atom_site_fract_z
La1 0.000 0.000 0.000
Pm1 0.314 0.314 0.000
Pm2 0.686 0.686 0.000
F1 0.125 0.837 0.287
F2 0.151 0.651 0.500
F3 0.310 0.500 0.810
F4 0.450 0.163 0.287
F5 0.550 0.837 0.713
F6 0.690 0.500 0.190
F7 0.849 0.349 0.500
F8 0.875 0.163 0.713
```

Main lines, by angle (10° ≤ 2θ ≤ 90°):
| d/Å | 2theta | I (rel.) |
| --- | --- | --- |
| 3.353 | 26.59 | 1000 |
| 3.268 | 27.29 | 614 |
| 2.692 | 33.28 | 281 |
| 2.098 | 43.11 | 743 |
| 1.936 | 46.93 | 329 |
| 1.667 | 55.11 | 180 |

> What is the formula in the second record?

LaPm2F8